[1]
Calculated PXRD pattern
Compound: Li11Co2O8
Radiation: copper Kα
Structure: the GGA+U geometry in OQMD
Peak positions follow from Bragg's law for the DFT cell and can differ from measured ones.

Largest 8 diffraction maxima, in order of falling intensity, 2θ from 10° to 80°:
2θ/deg, I (rel.)
23.61, 100
19.38, 50
36.59, 47
56.51, 34
33.83, 21
33.71, 17
43.80, 14
46.30, 14

Cell and atoms:
Cell: 6.4601 6.4931 4.6330 Å, 90.00 90.00 90.00°
Element x y z (fractional)
Li (0.0000, 0.0000, 0.0000)
Li (0.0000, 0.0000, 0.4925)
Li (0.2435, 0.2957, 0.4515)
Li (0.2435, 0.7043, 0.4515)
Li (0.2863, 0.2122, 0.9542)
Li (0.2863, 0.7878, 0.9542)
Li (0.5000, 0.5000, 0.8904)
Li (0.7137, 0.2122, 0.9542)
Li (0.7137, 0.7878, 0.9542)
Li (0.7565, 0.2957, 0.4515)
Li (0.7565, 0.7043, 0.4515)
Co (0.0000, 0.5000, 0.9438)
Co (0.5000, 0.0000, 0.4565)
O (0.0000, 0.2448, 0.7364)
O (0.0000, 0.7552, 0.7364)
O (0.2355, 0.0000, 0.2368)
O (0.2490, 0.5000, 0.1390)
O (0.5000, 0.2540, 0.6808)
O (0.5000, 0.7460, 0.6808)
O (0.7510, 0.5000, 0.1390)
O (0.7645, 0.0000, 0.2368)

***

[2]
Calculated PXRD pattern
Compound: Li6Co4O11
Radiation: copper Kα
Structure: the GGA+U geometry in OQMD
Peak positions follow from Bragg's law for the DFT cell and can differ from measured ones.

Largest 8 diffraction maxima, in order of falling intensity, 2θ from 10° to 80°:
2θ/deg, I (rel.)
18.94, 100
45.47, 71
22.11, 35
37.67, 34
24.71, 23
28.55, 14
21.15, 13
65.68, 12

Cell and atoms:
Cell: 4.8505 4.9568 8.3877 Å, 106.34 90.05 99.49°
Element x y z (fractional)
Li (0.0000, 0.0000, 0.0000)
Li (0.0243, 0.9962, 0.3086)
Li (0.2793, 0.4697, 0.5377)
Li (0.5179, 0.9928, 0.4681)
Li (0.5708, 0.0223, 0.8045)
Li (0.7710, 0.4980, 0.0554)
Co (0.2816, 0.4915, 0.8912)
Co (0.2877, 0.4963, 0.2222)
Co (0.7604, 0.4819, 0.7069)
Co (0.7859, 0.4983, 0.3787)
O (0.1539, 0.7189, 0.4062)
O (0.1733, 0.7115, 0.0802)
O (0.3786, 0.2618, 0.0080)
O (0.3969, 0.2575, 0.6925)
O (0.4220, 0.2757, 0.3309)
O (0.6325, 0.7166, 0.8968)
O (0.6533, 0.7207, 0.2696)
O (0.6747, 0.7150, 0.5903)
O (0.8891, 0.2788, 0.5131)
O (0.9259, 0.2765, 0.1958)
O (0.9262, 0.2998, 0.8323)

***

[3]
Calculated PXRD pattern
Compound: Li4CoO4
Radiation: copper Kα
Structure: the GGA+U geometry in OQMD
Peak positions follow from Bragg's law for the DFT cell and can differ from measured ones.

Largest 8 diffraction maxima, in order of falling intensity, 2θ from 10° to 80°:
2θ/deg, I (rel.)
28.06, 100
17.88, 86
25.77, 71
22.04, 27
44.95, 25
14.08, 24
50.77, 16
43.13, 15

Cell and atoms:
Cell: 3.5968 8.0659 6.5321 Å, 90.00 105.58 90.00°
Element x y z (fractional)
Li (0.0000, 0.0000, 0.0000)
Li (0.0000, 0.5000, 0.0000)
Li (0.1275, 0.2500, 0.2845)
Li (0.3122, 0.5231, 0.6201)
Li (0.3122, 0.9769, 0.6201)
Li (0.6878, 0.0231, 0.3799)
Li (0.6878, 0.4769, 0.3799)
Li (0.8725, 0.7500, 0.7155)
Co (0.1691, 0.7500, 0.2928)
Co (0.8309, 0.2500, 0.7072)
O (0.0874, 0.7500, 0.0195)
O (0.1465, 0.5249, 0.3004)
O (0.1465, 0.9751, 0.3004)
O (0.3084, 0.7500, 0.5784)
O (0.6916, 0.2500, 0.4216)
O (0.8535, 0.0249, 0.6996)
O (0.8535, 0.4751, 0.6996)
O (0.9126, 0.2500, 0.9805)

***

[4]
Calculated PXRD pattern
Compound: Li5CoO4
Radiation: copper Kα
Structure: the GGA+U geometry in OQMD
Peak positions follow from Bragg's law for the DFT cell and can differ from measured ones.

Largest 8 diffraction maxima, in order of falling intensity, 2θ from 10° to 80°:
2θ/deg, I (rel.)
16.98, 100
37.57, 91
17.81, 90
49.30, 53
24.24, 40
39.56, 40
25.17, 32
33.61, 31

Cell and atoms:
Cell: 4.9829 3.1573 5.2240 Å, 90.00 92.13 90.00°
Element x y z (fractional)
Li (0.0000, 0.0000, 0.0000)
Li (0.3396, 0.5000, 0.1586)
Li (0.3712, 0.0000, 0.6726)
Li (0.6288, 0.0000, 0.3274)
Li (0.6604, 0.5000, 0.8414)
Co (0.0000, 0.5000, 0.5000)
O (0.2292, 0.0000, 0.3349)
O (0.2367, 0.5000, 0.8066)
O (0.7633, 0.5000, 0.1934)
O (0.7708, 0.0000, 0.6651)

***

[5]
Calculated PXRD pattern
Compound: LiCoP3O9
Radiation: copper Kα
Structure: the GGA+U geometry in OQMD
Peak positions follow from Bragg's law for the DFT cell and can differ from measured ones.

Largest 8 diffraction maxima, in order of falling intensity, 2θ from 10° to 80°:
2θ/deg, I (rel.)
23.33, 100
23.56, 79
33.50, 46
33.96, 40
26.02, 39
33.07, 38
23.81, 24
25.78, 22

Cell and atoms:
Cell: 8.3241 8.4741 8.5777 Å, 90.00 90.00 90.00°
Element x y z (fractional)
Li (0.1505, 0.1362, 0.1163)
Li (0.3495, 0.8638, 0.6163)
Li (0.6505, 0.3638, 0.8837)
Li (0.8495, 0.6362, 0.3837)
Co (0.1287, 0.8582, 0.3451)
Co (0.3713, 0.1418, 0.8451)
Co (0.6287, 0.6418, 0.6549)
Co (0.8713, 0.3582, 0.1549)
P (0.0279, 0.3187, 0.8165)
P (0.1853, 0.4791, 0.3108)
P (0.2027, 0.8082, 0.9444)
P (0.2973, 0.1918, 0.4444)
P (0.3147, 0.5209, 0.8108)
P (0.4721, 0.6813, 0.3165)
P (0.5279, 0.1813, 0.1835)
P (0.6853, 0.0209, 0.6892)
P (0.7027, 0.6918, 0.0556)
P (0.7973, 0.3082, 0.5556)
P (0.8147, 0.9791, 0.1892)
P (0.9721, 0.8187, 0.6835)
O (0.0394, 0.7689, 0.8506)
O (0.0877, 0.6162, 0.3662)
O (0.1082, 0.8759, 0.5840)
O (0.1212, 0.3807, 0.1786)
O (0.1301, 0.1881, 0.8802)
O (0.1382, 0.4645, 0.7628)
O (0.1576, 0.8648, 0.1028)
O (0.1867, 0.0940, 0.3458)
O (0.2238, 0.3671, 0.4583)
O (0.2762, 0.6329, 0.9583)
O (0.3133, 0.9060, 0.8458)
O (0.3424, 0.1352, 0.6028)
O (0.3618, 0.5355, 0.2628)
O (0.3699, 0.8119, 0.3802)
O (0.3788, 0.6193, 0.6786)
O (0.3918, 0.1241, 0.0840)
O (0.4123, 0.3838, 0.8662)
O (0.4606, 0.2311, 0.3506)
O (0.5394, 0.7311, 0.1494)
O (0.5877, 0.8838, 0.6338)
O (0.6082, 0.6241, 0.4160)
O (0.6212, 0.1193, 0.8214)
O (0.6301, 0.3119, 0.1198)
O (0.6382, 0.0355, 0.2372)
O (0.6576, 0.6352, 0.8972)
O (0.6867, 0.4060, 0.6542)
O (0.7238, 0.1329, 0.5417)
O (0.7762, 0.8671, 0.0417)
O (0.8133, 0.5940, 0.1542)
O (0.8424, 0.3648, 0.3972)
O (0.8618, 0.9645, 0.7372)
O (0.8699, 0.6881, 0.6198)
O (0.8788, 0.8807, 0.3214)
O (0.8918, 0.3759, 0.9160)
O (0.9123, 0.1162, 0.1338)
O (0.9606, 0.2689, 0.6494)

***

[6]
Calculated PXRD pattern
Compound: Li4CoSbO6
Radiation: copper Kα
Structure: the GGA+U geometry in OQMD
Peak positions follow from Bragg's law for the DFT cell and can differ from measured ones.

Largest 8 diffraction maxima, in order of falling intensity, 2θ from 10° to 80°:
2θ/deg, I (rel.)
18.42, 100
43.35, 55
20.91, 47
23.40, 35
35.58, 32
42.98, 29
20.02, 28
27.33, 25

Cell and atoms:
Cell: 5.1287 5.1287 5.1254 Å, 99.89 99.89 119.72°
Element x y z (fractional)
Li (0.0000, 0.0000, 0.0000)
Li (0.1651, 0.8349, 0.5000)
Li (0.4877, 0.5123, 0.5000)
Li (0.8457, 0.1543, 0.5000)
Co (0.3319, 0.6681, 0.0000)
Sb (0.6688, 0.3312, 0.0000)
O (0.0750, 0.4265, 0.2380)
O (0.2774, 0.2731, 0.7649)
O (0.4295, 0.0766, 0.2293)
O (0.5735, 0.9250, 0.7620)
O (0.7269, 0.7226, 0.2351)
O (0.9234, 0.5705, 0.7707)

***

[7]
Calculated PXRD pattern
Compound: LiScCoO3
Radiation: copper Kα
Structure: the GGA+U geometry in OQMD
Peak positions follow from Bragg's law for the DFT cell and can differ from measured ones.

Largest 8 diffraction maxima, in order of falling intensity, 2θ from 10° to 80°:
2θ/deg, I (rel.)
17.78, 100
40.82, 81
41.70, 78
43.56, 69
17.26, 36
60.42, 27
58.88, 25
60.12, 23

Cell and atoms:
Cell: 3.0675 5.4132 7.6841 Å, 107.85 99.15 91.14°
Element x y z (fractional)
Li (0.0000, 0.0000, 0.0000)
Li (0.3928, 0.7287, 0.7318)
Sc (0.1949, 0.8675, 0.3633)
Sc (0.6966, 0.3693, 0.3662)
Co (0.5097, 0.5128, 0.0085)
Co (0.8804, 0.2103, 0.7184)
O (0.1349, 0.4662, 0.2102)
O (0.2581, 0.2688, 0.5208)
O (0.4460, 0.1197, 0.8629)
O (0.6327, 0.9688, 0.2118)
O (0.7587, 0.7695, 0.5179)
O (0.9450, 0.6067, 0.8662)

***

[8]
Calculated PXRD pattern
Compound: Li2Co3Se4O12
Radiation: copper Kα
Structure: the GGA+U geometry in OQMD
Peak positions follow from Bragg's law for the DFT cell and can differ from measured ones.

Largest 8 diffraction maxima, in order of falling intensity, 2θ from 10° to 80°:
2θ/deg, I (rel.)
33.12, 100
26.52, 77
23.42, 60
36.23, 37
28.45, 33
24.99, 32
31.78, 32
35.10, 26

Cell and atoms:
Cell: 8.0216 9.2389 7.7328 Å, 90.00 115.87 90.00°
Element x y z (fractional)
Li (0.1020, 0.1422, 0.4229)
Li (0.1020, 0.3578, 0.9229)
Li (0.8980, 0.6422, 0.0771)
Li (0.8980, 0.8578, 0.5771)
Co (0.0000, 0.0000, 0.0000)
Co (0.0000, 0.5000, 0.5000)
Co (0.2886, 0.0108, 0.8270)
Co (0.2886, 0.4892, 0.3270)
Co (0.7114, 0.5108, 0.6730)
Co (0.7114, 0.9892, 0.1730)
Se (0.1773, 0.6817, 0.8772)
Se (0.1773, 0.8183, 0.3772)
Se (0.4104, 0.1726, 0.2704)
Se (0.4104, 0.3274, 0.7704)
Se (0.5896, 0.6726, 0.2296)
Se (0.5896, 0.8274, 0.7296)
Se (0.8227, 0.1817, 0.6228)
Se (0.8227, 0.3183, 0.1228)
O (0.0414, 0.1504, 0.8160)
O (0.0414, 0.3496, 0.3160)
O (0.1405, 0.6024, 0.0578)
O (0.1405, 0.8976, 0.5578)
O (0.1670, 0.6345, 0.4296)
O (0.1670, 0.8655, 0.9296)
O (0.2148, 0.0796, 0.2441)
O (0.2148, 0.4204, 0.7441)
O (0.3276, 0.1625, 0.6633)
O (0.3276, 0.3375, 0.1633)
O (0.4616, 0.0999, 0.0928)
O (0.4616, 0.4001, 0.5928)
O (0.5384, 0.5999, 0.4072)
O (0.5384, 0.9001, 0.9072)
O (0.6724, 0.6625, 0.8367)
O (0.6724, 0.8375, 0.3367)
O (0.7852, 0.5796, 0.2559)
O (0.7852, 0.9204, 0.7559)
O (0.8330, 0.1345, 0.0704)
O (0.8330, 0.3655, 0.5704)
O (0.8595, 0.1024, 0.4422)
O (0.8595, 0.3976, 0.9422)
O (0.9586, 0.6504, 0.6840)
O (0.9586, 0.8496, 0.1840)